Diffraction record for CeSe2. The XRD peak list is theoretical, not measured: it uses the PBE geometry in the Materials Project and Cu Kα.

Main lines, sorted by position (10 to 90 degrees two-theta):
2θ = 12.54°, 7.059 Å, intensity 100.0; 2θ = 13.52°, 6.549 Å, intensity 44.4; 2θ = 14.16°, 6.253 Å, intensity 53.6; 2θ = 17.06°, 5.198 Å, intensity 97.6; 2θ = 34.51°, 2.599 Å, intensity 44.8; 2θ = 36.01°, 2.494 Å, intensity 20.6

Atomic structure:
Lattice parameters (Å, degrees): 7.343 7.393 15.338 90.00 113.01 90.00
Fractional positions:
Ce 0.208 0.241 0.438
Ce 0.208 0.759 0.938
Ce 0.792 0.241 0.062
Ce 0.792 0.759 0.562
Se 0.000 0.000 0.000
Se 0.000 0.000 0.500
Se 0.000 0.297 0.250
Se 0.000 0.703 0.750
Se 0.500 0.000 0.000
Se 0.500 0.000 0.500
Se 0.500 0.500 0.000
Se 0.500 0.500 0.500

---

Diffraction record for ZrTiCuO5. The XRD peak list is theoretical, not measured: it uses the PBE geometry in the Materials Project and Cu Kα.

Main lines, sorted by position (10 to 90 degrees two-theta):
2θ = 27.42°, 3.253 Å, intensity 19.2; 2θ = 30.61°, 2.920 Å, intensity 100.0; 2θ = 31.96°, 2.801 Å, intensity 93.9; 2θ = 36.30°, 2.475 Å, intensity 40.8; 2θ = 52.28°, 1.750 Å, intensity 49.4; 2θ = 63.35°, 1.468 Å, intensity 19.1

Atomic structure:
Lattice parameters (Å, degrees): 3.619 6.798 14.830 90.00 90.00 90.00
Fractional positions:
Zr 0.076 0.162 0.404
Zr 0.424 0.838 0.904
Zr 0.576 0.338 0.596
Zr 0.924 0.662 0.096
Ti 0.092 0.646 0.425
Ti 0.408 0.354 0.925
Ti 0.592 0.854 0.575
Ti 0.908 0.146 0.075
Cu 0.001 0.099 0.754
Cu 0.499 0.901 0.254
Cu 0.501 0.401 0.246
Cu 0.999 0.599 0.746
O 0.070 0.345 0.691
O 0.077 0.382 0.517
O 0.091 0.852 0.536
O 0.109 0.440 0.341
O 0.111 0.865 0.351
O 0.389 0.135 0.851
O 0.391 0.560 0.841
O 0.409 0.148 0.036
O 0.423 0.618 0.017
O 0.430 0.655 0.191
O 0.570 0.155 0.309
O 0.577 0.118 0.483
O 0.591 0.648 0.464
O 0.609 0.060 0.659
O 0.611 0.635 0.649
O 0.889 0.365 0.149
O 0.891 0.940 0.159
O 0.909 0.352 0.964
O 0.923 0.882 0.983
O 0.930 0.845 0.809

---

Diffraction record for NdTl2InTe4. The XRD peak list is theoretical, not measured: it uses the PBE geometry in the Materials Project and Cu Kα.

Main lines, sorted by position (10 to 90 degrees two-theta):
2θ = 25.97°, 3.431 Å, intensity 35.0; 2θ = 29.46°, 3.032 Å, intensity 48.7; 2θ = 31.29°, 2.859 Å, intensity 100.0; 2θ = 45.16°, 2.008 Å, intensity 15.0; 2θ = 47.41°, 1.918 Å, intensity 23.4; 2θ = 53.42°, 1.715 Å, intensity 20.1

Atomic structure:
Lattice parameters (Å, degrees): 7.175 7.175 7.175 106.60 106.60 115.39
Fractional positions:
Nd 0.000 0.000 0.000
Tl 0.000 0.500 0.500
Tl 0.500 0.000 0.500
In 0.500 0.500 0.000
Te 0.088 0.462 0.000
Te 0.462 0.088 0.000
Te 0.538 0.538 0.626
Te 0.912 0.912 0.374

---

Diffraction record for TiAl3. The XRD peak list is theoretical, not measured: it uses the PBE geometry in the Materials Project and Cu Kα.

Main lines, sorted by position (10 to 90 degrees two-theta):
2θ = 39.21°, 2.298 Å, intensity 100.0; 2θ = 42.01°, 2.150 Å, intensity 19.8; 2θ = 47.29°, 1.922 Å, intensity 27.6; 2θ = 65.09°, 1.433 Å, intensity 20.5; 2θ = 74.88°, 1.268 Å, intensity 13.6; 2θ = 82.45°, 1.170 Å, intensity 20.7

Atomic structure:
Lattice parameters (Å, degrees): 5.088 5.088 5.088 135.61 135.61 64.58
Fractional positions:
Ti 0.000 0.000 0.000
Al 0.250 0.750 0.500
Al 0.500 0.500 0.000
Al 0.750 0.250 0.500

---

Diffraction record for Ba2HoCu3O7. The XRD peak list is theoretical, not measured: it uses the PBE geometry in the Materials Project and Cu Kα.

Main lines, sorted by position (10 to 90 degrees two-theta):
2θ = 32.26°, 2.775 Å, intensity 46.7; 2θ = 32.64°, 2.744 Å, intensity 100.0; 2θ = 40.10°, 2.249 Å, intensity 15.4; 2θ = 46.33°, 1.960 Å, intensity 14.6; 2θ = 57.76°, 1.596 Å, intensity 37.6; 2θ = 58.49°, 1.578 Å, intensity 17.1

Atomic structure:
Lattice parameters (Å, degrees): 3.837 3.919 11.791 90.00 90.00 90.00
Fractional positions:
Ba 0.000 0.000 0.181
Ba 0.000 0.000 0.819
Ho 0.000 0.000 0.500
Cu 0.500 0.500 0.000
Cu 0.500 0.500 0.355
Cu 0.500 0.500 0.645
O 0.000 0.500 0.381
O 0.000 0.500 0.619
O 0.500 0.000 0.000
O 0.500 0.000 0.380
O 0.500 0.000 0.620
O 0.500 0.500 0.160
O 0.500 0.500 0.840

---

Diffraction record for Nd3Dy. The XRD peak list is theoretical, not measured: it uses the PBE geometry in the Materials Project and Cu Kα.

Main lines, sorted by position (10 to 90 degrees two-theta):
2θ = 28.11°, 3.174 Å, intensity 23.2; 2θ = 29.85°, 2.993 Å, intensity 26.5; 2θ = 31.91°, 2.804 Å, intensity 100.0; 2θ = 49.75°, 1.833 Å, intensity 19.3; 2θ = 54.31°, 1.689 Å, intensity 22.3; 2θ = 59.11°, 1.563 Å, intensity 23.0

Atomic structure:
Lattice parameters (Å, degrees): 7.331 7.331 5.986 90.00 90.00 120.00
Fractional positions:
Nd 0.167 0.335 0.250
Nd 0.167 0.833 0.250
Nd 0.335 0.167 0.750
Nd 0.665 0.833 0.250
Nd 0.833 0.167 0.750
Nd 0.833 0.665 0.750
Dy 0.333 0.667 0.750
Dy 0.667 0.333 0.250

---

Diffraction record for DyTmAg2. The XRD peak list is theoretical, not measured: it uses the PBE geometry in the Materials Project and Cu Kα.

Main lines, sorted by position (10 to 90 degrees two-theta):
2θ = 24.59°, 3.621 Å, intensity 4.1; 2θ = 35.05°, 2.560 Å, intensity 100.0; 2θ = 50.40°, 1.810 Å, intensity 17.6; 2θ = 62.87°, 1.478 Å, intensity 35.7; 2θ = 74.05°, 1.280 Å, intensity 11.0; 2θ = 84.64°, 1.145 Å, intensity 15.7

Atomic structure:
Lattice parameters (Å, degrees): 5.121 5.121 5.121 60.00 60.00 60.00
Fractional positions:
Dy 0.000 0.000 0.000
Tm 0.500 0.500 0.500
Ag 0.250 0.250 0.250
Ag 0.750 0.750 0.750

---

Diffraction record for La2Ti3ZnO10. The XRD peak list is theoretical, not measured: it uses the PBE geometry in the Materials Project and Cu Kα.

Main lines, sorted by position (10 to 90 degrees two-theta):
2θ = 28.33°, 3.150 Å, intensity 100.0; 2θ = 32.59°, 2.748 Å, intensity 82.6; 2θ = 32.97°, 2.716 Å, intensity 36.3; 2θ = 42.40°, 2.132 Å, intensity 34.3; 2θ = 47.33°, 1.921 Å, intensity 54.2; 2θ = 58.64°, 1.574 Å, intensity 31.4

Atomic structure:
Lattice parameters (Å, degrees): 14.025 14.025 14.025 164.26 164.26 22.34
Fractional positions:
La 0.080 0.080 0.000
La 0.920 0.920 0.000
Ti 0.344 0.344 0.000
Ti 0.500 0.500 0.000
Ti 0.656 0.656 0.000
Zn 0.750 0.250 0.500
O 0.000 0.500 0.500
O 0.139 0.639 0.500
O 0.279 0.279 0.000
O 0.361 0.861 0.500
O 0.429 0.429 0.000
O 0.500 0.000 0.500
O 0.571 0.571 0.000
O 0.641 0.141 0.500
O 0.721 0.721 0.000
O 0.859 0.359 0.500

---

Diffraction record for Ba3BiCl3O3. The XRD peak list is theoretical, not measured: it uses the PBE geometry in the Materials Project and Cu Kα.

Main lines, sorted by position (10 to 90 degrees two-theta):
2θ = 14.25°, 6.217 Å, intensity 77.0; 2θ = 23.89°, 3.725 Å, intensity 100.0; 2θ = 25.85°, 3.447 Å, intensity 50.5; 2θ = 25.97°, 3.431 Å, intensity 71.4; 2θ = 29.01°, 3.078 Å, intensity 87.3; 2θ = 29.83°, 2.995 Å, intensity 70.2

Atomic structure:
Lattice parameters (Å, degrees): 7.150 12.220 12.468 90.00 90.00 90.00
Fractional positions:
Ba 0.150 0.250 0.031
Ba 0.169 0.068 0.387
Ba 0.169 0.432 0.387
Ba 0.331 0.568 0.887
Ba 0.331 0.932 0.887
Ba 0.350 0.750 0.531
Ba 0.650 0.250 0.469
Ba 0.669 0.068 0.113
Ba 0.669 0.432 0.113
Ba 0.831 0.568 0.613
Ba 0.831 0.932 0.613
Ba 0.850 0.750 0.969
Bi 0.096 0.250 0.621
Bi 0.404 0.750 0.121
Bi 0.596 0.250 0.879
Bi 0.904 0.750 0.379
Cl 0.085 0.750 0.732
Cl 0.105 0.503 0.138
Cl 0.105 0.997 0.138
Cl 0.395 0.003 0.638
Cl 0.395 0.497 0.638
Cl 0.415 0.250 0.232
Cl 0.585 0.750 0.768
Cl 0.605 0.503 0.362
Cl 0.605 0.997 0.362
Cl 0.895 0.003 0.862
Cl 0.895 0.497 0.862
Cl 0.915 0.250 0.268
O 0.072 0.627 0.449
O 0.072 0.873 0.449
O 0.214 0.750 0.993
O 0.286 0.250 0.493
O 0.428 0.127 0.949
O 0.428 0.373 0.949
O 0.572 0.627 0.051
O 0.572 0.873 0.051
O 0.714 0.750 0.507
O 0.786 0.250 0.007
O 0.928 0.127 0.551
O 0.928 0.373 0.551

---

Diffraction record for SiTc3. The XRD peak list is theoretical, not measured: it uses the PBE geometry in the Materials Project and Cu Kα.

Main lines, sorted by position (10 to 90 degrees two-theta):
2θ = 27.72°, 3.218 Å, intensity 19.6; 2θ = 38.42°, 2.343 Å, intensity 24.2; 2θ = 40.75°, 2.214 Å, intensity 27.4; 2θ = 43.71°, 2.071 Å, intensity 100.0; 2θ = 76.24°, 1.249 Å, intensity 18.6; 2θ = 83.81°, 1.154 Å, intensity 19.2

Atomic structure:
Lattice parameters (Å, degrees): 5.411 5.411 4.428 90.00 90.00 120.00
Fractional positions:
Si 0.333 0.667 0.250
Si 0.667 0.333 0.750
Tc 0.171 0.342 0.750
Tc 0.171 0.829 0.750
Tc 0.342 0.171 0.250
Tc 0.658 0.829 0.750
Tc 0.829 0.171 0.250
Tc 0.829 0.658 0.250

---

Diffraction record for KMnN. The XRD peak list is theoretical, not measured: it uses the PBE geometry in the Materials Project and Cu Kα.

Main lines, sorted by position (10 to 90 degrees two-theta):
2θ = 20.64°, 4.303 Å, intensity 17.7; 2θ = 29.35°, 3.043 Å, intensity 100.0; 2θ = 32.29°, 2.772 Å, intensity 85.5; 2θ = 41.99°, 2.151 Å, intensity 34.1; 2θ = 53.95°, 1.700 Å, intensity 36.4; 2θ = 59.35°, 1.557 Å, intensity 21.3

Atomic structure:
Lattice parameters (Å, degrees): 4.303 4.303 3.625 90.00 90.00 90.00
Fractional positions:
K 0.000 0.000 0.000
Mn 0.500 0.500 0.500
N 0.500 0.500 0.000